[1]
For Pr6Nd3Y2, a GGA-PBE-relaxed structure gives the simulated PXRD pattern in this record (Cu Kα (weighted mean of Kα1 and Kα2)).
Peak positions follow from Bragg's law for the DFT cell and can differ from measured ones.

Largest 9 diffraction maxima, low angle first, 15° ≤ 2θ ≤ 90°:
d (Å)	I/Imax
3.184	1
3.005	100
2.603	51
1.840	36
1.569	43
1.503	12
1.301	6
1.194	17
1.164	16

Structure:
a = 33.108 Å, b = 33.108 Å, c = 33.108 Å
α = 6.37°, β = 6.37°, γ = 6.37°
Sites, in units of the cell vectors:
Pr 0.092 0.092 0.092
Pr 0.182 0.182 0.182
Pr 0.364 0.364 0.364
Pr 0.636 0.636 0.636
Pr 0.818 0.818 0.818
Pr 0.908 0.908 0.908
Nd 0.000 0.000 0.000
Nd 0.272 0.272 0.272
Nd 0.728 0.728 0.728
Y 0.455 0.455 0.455
Y 0.545 0.545 0.545

=====

[2]
For Pr8NdY5, a GGA-PBE-relaxed structure gives the simulated PXRD pattern in this record (Cu Kα (weighted mean of Kα1 and Kα2)).
Peak positions follow from Bragg's law for the DFT cell and can differ from measured ones.

Largest 10 diffraction maxima, low angle first, 15° ≤ 2θ ≤ 90°:
d (Å)	I/Imax
4.034	29
3.292	78
3.111	73
3.090	81
2.885	27
2.730	100
2.662	64
2.624	63
1.679	26
1.522	22

Structure:
a = 8.675 Å, b = 8.675 Å, c = 8.675 Å
α = 111.44°, β = 111.44°, γ = 105.60°
Sites, in units of the cell vectors:
Pr 0.073 0.333 0.603
Pr 0.159 0.431 0.088
Pr 0.344 0.071 0.912
Pr 0.531 0.927 0.261
Pr 0.569 0.656 0.728
Pr 0.667 0.270 0.739
Pr 0.730 0.469 0.397
Pr 0.929 0.841 0.272
Nd 0.250 0.750 0.500
Y 0.037 0.724 0.909
Y 0.276 0.184 0.313
Y 0.500 0.500 0.000
Y 0.816 0.128 0.091
Y 0.872 0.963 0.687